Structure and theoretical X-ray powder pattern of TlVAg2F8 (DFT lattice parameters and positions (PBE+U); copper Kα).
Peak positions follow from Bragg's law for the DFT cell and can differ from measured ones.

Top 10 peaks for 10° ≤ 2θ ≤ 90°, in order of rising 2θ:
two_theta  I/Imax  h k l
11.7  31  0 0 1
22.9  100  1 -1 0
26.8  92  1 1 0
28.1  60  0 1 -2
29.0  39  1 0 -2
29.7  53  0 1 2
31.0  33  1 0 2
43.0  31  1 -2 2
43.8  24  -1 2 2
46.2  23  1 2 -2

Structural model:
```
data_TlVAg2F8
_cell_length_a 4.883
_cell_length_b 5.391
_cell_length_c 7.611
_cell_angle_alpha 92.65
_cell_angle_beta 93.45
_cell_angle_gamma 98.59
_symmetry_space_group_name_H-M 'P -1'
_symmetry_Int_Tables_number 2
loop_
_symmetry_equiv_pos_as_xyz
'x,y,z'
'-x,-y,-z'
loop_
_atom_site_label
_atom_site_type_symbol
_atom_site_fract_x
_atom_site_fract_y
_atom_site_fract_z
_atom_site_occupancy
Tl1 Tl 0.000 0.000 0.000 1
V1 V 0.000 0.000 0.500 1
Ag1 Ag 0.439 0.508 0.760 1
F1 F 0.134 0.808 0.328 1
F2 F 0.171 0.824 0.674 1
F3 F 0.320 0.257 0.506 1
F4 F 0.468 0.729 0.016 1
```